Record 1
Pm4ScHg3: computed XRD peak list (Cu Kα (λ = 1.5418 Å)), based on a DFT-relaxed cell (GGA-PBE, Alexandria).
Intensities are scaled so that the largest is 100.

Cell and atoms:
```
Pm4ScHg3
1.0
3.7459 0.0000 0.0000
0.0000 5.4060 0.0000
0.0000 0.0000 11.0575
Pm Sc Hg
4 1 3
Direct
0.0000 0.0000 0.0000
0.0000 0.0000 0.5000
0.0000 0.5000 0.2418
0.0000 0.5000 0.7582
0.5000 0.5000 0.5000
0.5000 0.0000 0.2623
0.5000 0.0000 0.7377
0.5000 0.5000 0.0000
```

Most intense lines, 2θ = 5–70°, by intensity:
| two_theta | Rel. int. |
| --- | --- |
| 33.3 | 100 |
| 32.4 | 26 |
| 33.1 | 26 |
| 59.3 | 19 |
| 58.4 | 19 |
| 47.0 | 19 |
| 69.9 | 11 |
| 60.1 | 9 |
| 59.6 | 9 |
| 48.6 | 9 |

---

Record 2
Pm3ScHg2: computed XRD peak list (Cu Kα (λ = 1.5418 Å)), based on a DFT-relaxed cell (GGA-PBE, Alexandria).
Intensities are scaled so that the largest is 100.

Cell and atoms:
```
Pm3ScHg2
1.0
5.2365 0.0000 0.0000
0.0000 9.4908 0.0000
0.0000 0.0000 6.8209
Pm Sc Hg
6 2 4
Direct
0.0000 0.0467 0.0000
0.0000 0.3350 0.3239
0.0000 0.6650 0.8239
0.0000 0.9533 0.5000
0.5000 0.1833 0.6951
0.5000 0.8167 0.1951
0.5000 0.4534 0.0290
0.5000 0.5466 0.5290
0.0000 0.3499 0.7925
0.0000 0.6501 0.2925
0.5000 0.1554 0.2359
0.5000 0.8446 0.7359
```

Most intense lines, 2θ = 5–70°, by intensity:
| two_theta | Rel. int. |
| --- | --- |
| 33.1 | 100 |
| 32.7 | 78 |
| 34.2 | 57 |
| 42.6 | 31 |
| 31.3 | 29 |
| 32.3 | 27 |
| 26.1 | 22 |
| 60.4 | 19 |
| 47.8 | 18 |
| 19.4 | 18 |

---

Record 3
PmScHg6: computed XRD peak list (Cu Kα (λ = 1.5418 Å)), based on a DFT-relaxed cell (GGA-PBE, Alexandria).
Intensities are scaled so that the largest is 100.

Cell and atoms:
```
PmScHg6
1.0
5.0031 0.0000 0.0000
0.0000 3.3112 5.7376
0.0000 -3.3112 5.7376
Pm Sc Hg
1 1 6
Direct
0.0000 0.0000 0.0000
0.5000 0.3349 0.3349
0.0000 0.0100 0.4954
0.0000 0.4954 0.0100
0.0000 0.4967 0.4967
0.5000 0.3416 0.8306
0.5000 0.8294 0.8294
0.5000 0.8306 0.3416
```

Most intense lines, 2θ = 5–70°, by intensity:
| two_theta | Rel. int. |
| --- | --- |
| 36.1 | 100 |
| 31.2 | 25 |
| 35.9 | 23 |
| 67.9 | 21 |
| 55.5 | 19 |
| 64.7 | 19 |
| 68.0 | 16 |
| 48.3 | 15 |
| 23.6 | 8 |
| 15.4 | 4 |

---

Record 4
PmTmScHg: computed XRD peak list (Cu Kα (λ = 1.5418 Å)), based on a DFT-relaxed cell (GGA-PBE, Alexandria).
Intensities are scaled so that the largest is 100.

Cell and atoms:
```
PmTmScHg
1.0
0.0000 3.7285 3.7285
3.7285 0.0000 3.7285
3.7285 3.7285 0.0000
Pm Tm Sc Hg
1 1 1 1
Direct
0.0000 0.0000 0.0000
0.7500 0.7500 0.7500
0.2500 0.2500 0.2500
0.5000 0.5000 0.5000
```

Most intense lines, 2θ = 5–70°, by intensity:
| two_theta | Rel. int. |
| --- | --- |
| 34.0 | 100 |
| 60.9 | 37 |
| 48.9 | 18 |
| 20.6 | 13 |
| 40.1 | 7 |
| 23.9 | 7 |
| 53.6 | 3 |
| 55.1 | 3 |
| 65.0 | 3 |
| 42.0 | 2 |

---

Record 5
PmScZnHg: computed XRD peak list (Cu Kα (λ = 1.5418 Å)), based on a DFT-relaxed cell (GGA-PBE, Alexandria).
Intensities are scaled so that the largest is 100.

Cell and atoms:
```
PmScZnHg
1.0
3.5264 0.0000 0.0000
0.0000 3.5264 0.0000
0.0000 0.0000 7.3976
Pm Sc Zn Hg
1 1 1 1
Direct
0.0000 0.0000 0.0000
0.0000 0.0000 0.4666
0.5000 0.5000 0.2659
0.5000 0.5000 0.7003
```

Most intense lines, 2θ = 5–70°, by intensity:
| two_theta | Rel. int. |
| --- | --- |
| 35.2 | 100 |
| 36.0 | 53 |
| 28.0 | 43 |
| 64.2 | 34 |
| 12.0 | 20 |
| 51.9 | 18 |
| 52.2 | 16 |
| 62.5 | 13 |
| 36.4 | 11 |
| 60.0 | 11 |

---

Record 6
Pm3HgSe: computed XRD peak list (Cu Kα (λ = 1.5418 Å)), based on a DFT-relaxed cell (GGA-PBE, Alexandria).
Intensities are scaled so that the largest is 100.

Cell and atoms:
```
Pm3HgSe
1.0
9.2239 0.0000 0.0000
0.0000 4.0830 0.0000
0.0000 0.0000 15.8376
Pm Hg Se
12 4 4
Direct
0.0192 0.2500 0.1092
0.1561 0.2500 0.5421
0.1733 0.7500 0.2886
0.3267 0.2500 0.7886
0.3439 0.7500 0.0421
0.4808 0.7500 0.6092
0.5192 0.2500 0.3908
0.6561 0.2500 0.9579
0.6733 0.7500 0.2114
0.8267 0.2500 0.7114
0.8439 0.7500 0.4579
0.9808 0.7500 0.8908
0.1024 0.7500 0.6938
0.3976 0.2500 0.1938
0.6024 0.7500 0.8062
0.8976 0.2500 0.3062
0.1837 0.2500 0.9505
0.3163 0.7500 0.4505
0.6837 0.2500 0.5495
0.8163 0.7500 0.0495
```

Most intense lines, 2θ = 5–70°, by intensity:
| two_theta | Rel. int. |
| --- | --- |
| 29.8 | 100 |
| 31.4 | 98 |
| 29.3 | 40 |
| 44.4 | 27 |
| 35.9 | 24 |
| 33.0 | 19 |
| 29.6 | 17 |
| 54.4 | 17 |
| 42.8 | 15 |
| 37.2 | 14 |

---

Record 7
Pm6HgTe3Se2: computed XRD peak list (Cu Kα (λ = 1.5418 Å)), based on a DFT-relaxed cell (GGA-PBE, Alexandria).
Intensities are scaled so that the largest is 100.

Cell and atoms:
```
Pm6HgTe3Se2
1.0
9.5822 -2.1430 0.0000
9.5822 2.1430 0.0000
-2.2615 0.0000 8.6474
Pm Hg Te Se
6 1 3 2
Direct
0.0056 0.0056 0.2465
0.3274 0.3274 0.4330
0.3349 0.3349 0.9012
0.6651 0.6651 0.0988
0.6726 0.6726 0.5670
0.9944 0.9944 0.7535
0.5000 0.5000 0.0000
0.1661 0.1661 0.8305
0.5000 0.5000 0.5000
0.8339 0.8339 0.1695
0.1675 0.1675 0.3334
0.8325 0.8325 0.6666
```

Most intense lines, 2θ = 5–70°, by intensity:
| two_theta | Rel. int. |
| --- | --- |
| 28.9 | 100 |
| 41.6 | 25 |
| 41.0 | 25 |
| 51.9 | 13 |
| 40.4 | 13 |
| 42.2 | 12 |
| 59.8 | 12 |
| 68.2 | 11 |
| 50.9 | 7 |
| 49.9 | 6 |